Structure and theoretical powder XRD pattern of KAlCr2H2O8 (a structure optimized by DFT (PBE+U); Cu Kα, 1.54184 Å).
Kinematic intensities with the Lorentz-polarization factor, no thermal factor.

Top 6 peaks for 2θ = 15–90°, low angle first:
d 4.070, I 59.1; d 3.930, I 99.3; d 3.911, I 58.6; d 3.673, I 59.0; d 3.054, I 100.0; d 2.937, I 61.0

Atomic structure:
a = 8.6783 Å, b = 5.5156 Å, c = 7.8453 Å
α = 90.00°, β = 94.25°, γ = 90.00°
Space group C2/m (No. 12)
Symmetry-distinct sites (fractional):
1 K 0.0000 0.0000 0.0000 [2 per cell]
2 Al 0.0000 0.0000 0.5000 [2 per cell]
3 Cr 0.1133 0.5000 0.2855 [4 per cell]
4 H 0.2261 0.5000 0.5678 [4 per cell]
5 O 0.0107 0.2409 0.3263 [8 per cell]
6 O 0.1893 0.5000 0.1024 [4 per cell]
7 O 0.2235 0.0000 0.5397 [4 per cell]